This entry pairs a crystal structure of Sr2La4Mg2RuO12 with its theoretical powder X-ray diffraction pattern. Radiation: copper Kα. Structure: a DFT-relaxed cell (PBE, Alexandria).

Structural model:
a = 3.9035 Å, b = 3.9035 Å, c = 38.0817 Å
α = 90.00°, β = 90.00°, γ = 90.00°
Space group I4/mmm (No. 139)
Inequivalent atoms, fractional coordinates:
1 Sr 0.0000 0.0000 0.0489
2 La 0.0000 0.0000 0.2873
3 La 0.0000 0.0000 0.3784
4 Mg 0.0000 0.0000 0.1668
5 Ru 0.0000 0.0000 0.5000
6 O 0.0000 0.0000 0.1104
7 O 0.0000 0.0000 0.2264
8 O 0.0000 0.0000 0.4440
9 O 0.0000 0.5000 0.0000
10 O 0.0000 0.5000 0.1672

Main lines, in order of falling intensity (2θ from 10° to 90°):
(1 0 9), 31.17°, d = 2.869 Å, rel. 100.0
(1 1 0), 32.44°, d = 2.760 Å, rel. 75.4
(2 0 0), 46.53°, d = 1.952 Å, rel. 39.7
(2 1 9), 57.07°, d = 1.614 Å, rel. 37.5
(1 1 12), 43.45°, d = 2.083 Å, rel. 36.4
(1 0 3), 23.85°, d = 3.731 Å, rel. 28.1
(1 0 15), 42.47°, d = 2.128 Å, rel. 19.0
(0 0 12), 28.12°, d = 3.173 Å, rel. 15.6
(1 0 1), 22.90°, d = 3.883 Å, rel. 13.8
(3 1 0), 77.30°, d = 1.234 Å, rel. 12.0
(2 2 0), 67.92°, d = 1.380 Å, rel. 11.9
(1 1 18), 54.66°, d = 1.679 Å, rel. 11.5